Structure and calculated PXRD pattern of Cs2Zn2CrS4 (a DFT-relaxed cell (GGA-PBE, Alexandria); copper Kα).
Intensities are scaled so that the largest is 100.

Largest 8 diffraction maxima, in order of falling intensity, 5° ≤ 2θ ≤ 70°:
2θ 33.14, rel. 100; 2θ 24.19, rel. 60; 2θ 28.17, rel. 50; 2θ 27.64, rel. 48; 2θ 29.38, rel. 47; 2θ 27.95, rel. 43; 2θ 22.11, rel. 40; 2θ 51.08, rel. 31

Crystal structure
a = 8.567 Å, b = 8.567 Å, c = 7.665 Å
α = 105.84°, β = 105.84°, γ = 25.69°
Fractional positions:
1 Cs 0.122 0.122 0.025
2 Cs 0.878 0.878 0.975
3 Zn 0.325 0.325 0.502
4 Zn 0.675 0.675 0.498
5 Cr 0.000 0.000 0.500
6 S 0.222 0.222 0.681
7 S 0.466 0.466 0.676
8 S 0.534 0.534 0.324
9 S 0.778 0.778 0.319

---

Structure and calculated PXRD pattern of AcPmUN4 (a DFT-relaxed cell (GGA-PBE, Alexandria); copper Kα).
Intensities are scaled so that the largest is 100.

Largest 8 diffraction maxima, in order of falling intensity, 5° ≤ 2θ ≤ 70°:
2θ 29.30, rel. 100; 2θ 29.64, rel. 58; 2θ 52.39, rel. 42; 2θ 42.42, rel. 26; 2θ 51.75, rel. 19; 2θ 60.78, rel. 14; 2θ 41.41, rel. 11; 2θ 40.45, rel. 9

Crystal structure
a = 7.200 Å, b = 7.200 Å, c = 6.034 Å
α = 90.00°, β = 90.00°, γ = 130.57°
Fractional positions:
1 Ac 0.102 0.898 0.750
2 Ac 0.898 0.102 0.250
3 Pm 0.399 0.601 0.750
4 Pm 0.601 0.399 0.250
5 U 0.252 0.748 0.250
6 U 0.748 0.252 0.750
7 N 0.000 0.500 0.000
8 N 0.000 0.500 0.500
9 N 0.086 0.914 0.250
10 N 0.425 0.575 0.250
11 N 0.500 0.000 0.000
12 N 0.500 0.000 0.500
13 N 0.575 0.425 0.750
14 N 0.914 0.086 0.750

---

Structure and calculated PXRD pattern of Rb2RuSeBr6 (a DFT-relaxed cell (GGA-PBE, Alexandria); copper Kα).
Intensities are scaled so that the largest is 100.

Largest 8 diffraction maxima, in order of falling intensity, 5° ≤ 2θ ≤ 70°:
2θ 31.67, rel. 100; 2θ 28.10, rel. 90; 2θ 47.36, rel. 63; 2θ 34.27, rel. 43; 2θ 45.40, rel. 33; 2θ 58.10, rel. 31; 2θ 15.68, rel. 28; 2θ 23.17, rel. 27

Crystal structure
a = 7.701 Å, b = 7.701 Å, c = 7.701 Å
α = 117.50°, β = 117.50°, γ = 94.39°
Fractional positions:
1 Rb 0.250 0.750 0.500
2 Rb 0.750 0.250 0.500
3 Ru 0.000 0.000 0.000
4 Se 0.500 0.500 0.000
5 Br 0.225 0.225 0.451
6 Br 0.225 0.775 0.000
7 Br 0.247 0.247 0.000
8 Br 0.753 0.753 0.000
9 Br 0.775 0.225 0.000
10 Br 0.775 0.775 0.549